1.
Diffraction record for HoTmC2I2. The XRD peak list is calculated, not measured: it uses a structure optimized by DFT (GGA-PBE) and λ = 1.5418 Å (Cu Kα).
No peak broadening, texture or thermal motion is included.

Main lines, most intense first (15 to 90 degrees two-theta):
2θ/deg, I (rel.)
31.2, 100
28.6, 78
26.2, 52
44.3, 45
30.4, 44
36.3, 32
41.3, 28
56.0, 23
40.5, 23
30.2, 23

Structural model:
```
data_HoTmC2I2
_chemical_formula_sum 'Ho1 Tm1 C2 I2'
_symmetry_space_group_name_H-M 'P 1'
_symmetry_Int_Tables_number 1
_cell_length_a 4.109
_cell_length_b 4.109
_cell_length_c 11.157
_cell_angle_alpha 93.04
_cell_angle_beta 93.04
_cell_angle_gamma 56.00
loop_
_symmetry_equiv_pos_as_xyz
'x,y,z'
loop_
_atom_site_label
_atom_site_type_symbol
_atom_site_fract_x
_atom_site_fract_y
_atom_site_fract_z
Ho1 Ho 0.000 0.000 0.000
Tm1 Tm 0.709 0.709 0.758
C1 C 0.277 0.277 0.906
C2 C 0.433 0.433 0.849
I1 I 0.031 0.031 0.571
I2 I 0.679 0.679 0.189
```

=====

2.
Diffraction record for HoLuPbC. The XRD peak list is calculated, not measured: it uses a structure optimized by DFT (GGA-PBE) and λ = 1.5418 Å (Cu Kα).
No peak broadening, texture or thermal motion is included.

Main lines, most intense first (15 to 90 degrees two-theta):
2θ/deg, I (rel.)
33.5, 100
28.7, 23
62.6, 22
50.9, 21
33.9, 21
60.4, 19
62.3, 17
45.1, 16
84.6, 15
82.9, 8

Structural model:
```
data_HoLuPbC
_chemical_formula_sum 'Ho2 Lu2 Pb2 C2'
_symmetry_space_group_name_H-M 'P 1'
_symmetry_Int_Tables_number 1
_cell_length_a 3.586
_cell_length_b 3.586
_cell_length_c 15.846
_cell_angle_alpha 90.00
_cell_angle_beta 90.00
_cell_angle_gamma 120.00
loop_
_symmetry_equiv_pos_as_xyz
'x,y,z'
loop_
_atom_site_label
_atom_site_type_symbol
_atom_site_fract_x
_atom_site_fract_y
_atom_site_fract_z
Ho1 Ho 0.000 0.000 0.169
Ho2 Ho 0.000 0.000 0.831
Lu1 Lu 0.333 0.667 0.333
Lu2 Lu 0.333 0.667 0.667
Pb1 Pb 0.000 0.000 0.500
Pb2 Pb 0.333 0.667 0.000
C1 C 0.667 0.333 0.253
C2 C 0.667 0.333 0.747
```

=====

3.
Diffraction record for HoLuTeC. The XRD peak list is calculated, not measured: it uses a structure optimized by DFT (GGA-PBE) and λ = 1.5418 Å (Cu Kα).
No peak broadening, texture or thermal motion is included.

Main lines, most intense first (15 to 90 degrees two-theta):
2θ/deg, I (rel.)
33.6, 100
27.3, 26
48.2, 26
60.0, 19
63.7, 19
80.4, 16
39.1, 13
48.3, 12
67.3, 11
87.0, 6

Structural model:
```
data_HoLuTeC
_chemical_formula_sum 'Ho2 Lu2 Te2 C2'
_symmetry_space_group_name_H-M 'P 1'
_symmetry_Int_Tables_number 1
_cell_length_a 3.776
_cell_length_b 3.776
_cell_length_c 13.826
_cell_angle_alpha 90.00
_cell_angle_beta 90.00
_cell_angle_gamma 120.00
loop_
_symmetry_equiv_pos_as_xyz
'x,y,z'
loop_
_atom_site_label
_atom_site_type_symbol
_atom_site_fract_x
_atom_site_fract_y
_atom_site_fract_z
Ho1 Ho 0.333 0.667 0.094
Ho2 Ho 0.667 0.333 0.906
Lu1 Lu 0.333 0.667 0.409
Lu2 Lu 0.667 0.333 0.591
Te1 Te 0.333 0.667 0.746
Te2 Te 0.667 0.333 0.254
C1 C 0.000 0.000 0.000
C2 C 0.000 0.000 0.500
```

=====

4.
Diffraction record for NdHoSi2Mo2C. The XRD peak list is calculated, not measured: it uses a structure optimized by DFT (GGA-PBE) and λ = 1.5418 Å (Cu Kα).
No peak broadening, texture or thermal motion is included.

Main lines, most intense first (15 to 90 degrees two-theta):
2θ/deg, I (rel.)
34.9, 100
33.5, 89
31.2, 44
39.5, 30
47.1, 26
33.0, 25
25.1, 24
24.7, 22
32.3, 18
58.9, 16

Structural model:
```
data_NdHoSi2Mo2C
_chemical_formula_sum 'Nd1 Ho1 Si2 Mo2 C1'
_symmetry_space_group_name_H-M 'P 1'
_symmetry_Int_Tables_number 1
_cell_length_a 5.918
_cell_length_b 5.918
_cell_length_c 7.238
_cell_angle_alpha 123.59
_cell_angle_beta 123.59
_cell_angle_gamma 38.09
loop_
_symmetry_equiv_pos_as_xyz
'x,y,z'
loop_
_atom_site_label
_atom_site_type_symbol
_atom_site_fract_x
_atom_site_fract_y
_atom_site_fract_z
Nd1 Nd 0.000 0.000 0.000
Ho1 Ho 0.150 0.150 0.595
Si1 Si 0.444 0.444 0.630
Si2 Si 0.709 0.709 0.966
Mo1 Mo 0.372 0.372 0.220
Mo2 Mo 0.783 0.783 0.384
C1 C 0.580 0.580 0.310
```